Starting from a cell relaxed with GGA-PBE, the powder diffraction line list of Dy11Mn12C18 was calculated for CuKα.

Cell and atoms:
Unit cell a=8.7836 b=8.7836 c=8.7836 alpha=109.47 beta=109.47 gamma=109.47
Element x y z (fractional)
Dy  0.0000  0.0000  0.0000
Dy  0.0000  0.0000  0.5886
Dy  0.0000  0.5886  0.0000
Dy  0.2500  0.5000  0.7500
Dy  0.2500  0.7500  0.5000
Dy  0.4114  0.4114  0.4114
Dy  0.5000  0.2500  0.7500
Dy  0.5000  0.7500  0.2500
Dy  0.5886  0.0000  0.0000
Dy  0.7500  0.2500  0.5000
Dy  0.7500  0.5000  0.2500
Mn  0.0000  0.1836  0.3397
Mn  0.0000  0.3397  0.1836
Mn  0.1561  0.8164  0.8164
Mn  0.1836  0.0000  0.3397
Mn  0.1836  0.3397  0.0000
Mn  0.3397  0.0000  0.1836
Mn  0.3397  0.1836  0.0000
Mn  0.6603  0.6603  0.8439
Mn  0.6603  0.8439  0.6603
Mn  0.8164  0.1561  0.8164
Mn  0.8164  0.8164  0.1561
Mn  0.8439  0.6603  0.6603
C  0.0000  0.2957  0.7808
C  0.0000  0.4320  0.4320
C  0.0000  0.5680  0.5680
C  0.0000  0.7808  0.2957
C  0.2192  0.2192  0.5148
C  0.2192  0.5148  0.2192
C  0.2957  0.0000  0.7808
C  0.2957  0.7808  0.0000
C  0.4320  0.0000  0.4320
C  0.4320  0.4320  0.0000
C  0.4852  0.7043  0.7043
C  0.5148  0.2192  0.2192
C  0.5680  0.0000  0.5680
C  0.5680  0.5680  0.0000
C  0.7043  0.4852  0.7043
C  0.7043  0.7043  0.4852
C  0.7808  0.0000  0.2957
C  0.7808  0.2957  0.0000

Main lines, sorted by position (10° ≤ 2θ ≤ 90°):
| d (Å) | 2θ (°) | Rel. int. |
| --- | --- | --- |
| 2.928 | 30.53 | 77 |
| 2.711 | 33.05 | 100 |
| 2.536 | 35.40 | 64 |
| 2.391 | 37.63 | 54 |
| 1.645 | 55.88 | 54 |
| 1.380 | 67.91 | 30 |



Starting from a cell relaxed with GGA-PBE, the powder diffraction line list of Dy12Mn5C15 was calculated for CuKα.

Cell and atoms:
Unit cell a=10.4604 b=10.4604 c=5.0549 alpha=90.00 beta=90.00 gamma=120.00
Element x y z (fractional)
Dy  0.0000  0.4305  0.0000
Dy  0.0000  0.7941  0.0000
Dy  0.1863  0.7309  0.5000
Dy  0.2059  0.2059  0.0000
Dy  0.2691  0.4553  0.5000
Dy  0.4305  0.0000  0.0000
Dy  0.4553  0.2691  0.5000
Dy  0.5447  0.8137  0.5000
Dy  0.5695  0.5695  0.0000
Dy  0.7309  0.1863  0.5000
Dy  0.7941  0.0000  0.0000
Dy  0.8137  0.5447  0.5000
Mn  0.0000  0.1536  0.5000
Mn  0.1536  0.0000  0.5000
Mn  0.3333  0.6667  0.0000
Mn  0.6667  0.3333  0.0000
Mn  0.8464  0.8464  0.5000
C  0.0000  0.3249  0.5000
C  0.0000  0.4546  0.5000
C  0.0000  0.7991  0.5000
C  0.1940  0.7177  0.0000
C  0.2009  0.2009  0.5000
C  0.2823  0.4764  0.0000
C  0.3249  0.0000  0.5000
C  0.4546  0.0000  0.5000
C  0.4764  0.2823  0.0000
C  0.5236  0.8060  0.0000
C  0.5454  0.5454  0.5000
C  0.6751  0.6751  0.5000
C  0.7177  0.1940  0.0000
C  0.7991  0.0000  0.5000
C  0.8060  0.5236  0.0000

Main lines, sorted by position (10° ≤ 2θ ≤ 90°):
| d (Å) | 2θ (°) | Rel. int. |
| --- | --- | --- |
| 2.835 | 31.56 | 100 |
| 2.615 | 34.29 | 14 |
| 2.527 | 35.52 | 31 |
| 2.513 | 35.74 | 27 |
| 1.782 | 51.27 | 19 |
| 1.512 | 61.32 | 16 |



Starting from a cell relaxed with GGA-PBE, the powder diffraction line list of Dy2Mn17C3 was calculated for CuKα.

Cell and atoms:
Unit cell a=8.5472 b=8.5472 c=8.3238 alpha=90.00 beta=90.00 gamma=120.00
Element x y z (fractional)
Dy  0.0000  0.0000  0.2500
Dy  0.0000  0.0000  0.7500
Dy  0.3333  0.6667  0.2500
Dy  0.6667  0.3333  0.7500
Mn  0.0000  0.5000  0.0000
Mn  0.0000  0.5000  0.5000
Mn  0.0578  0.3856  0.7500
Mn  0.0578  0.6722  0.7500
Mn  0.1726  0.3452  0.0235
Mn  0.1726  0.3452  0.4765
Mn  0.1726  0.8274  0.0235
Mn  0.1726  0.8274  0.4765
Mn  0.3278  0.3856  0.7500
Mn  0.3278  0.9422  0.7500
Mn  0.3333  0.6667  0.6111
Mn  0.3333  0.6667  0.8889
Mn  0.3452  0.1726  0.5235
Mn  0.3452  0.1726  0.9765
Mn  0.3856  0.0578  0.2500
Mn  0.3856  0.3278  0.2500
Mn  0.5000  0.0000  0.0000
Mn  0.5000  0.0000  0.5000
Mn  0.5000  0.5000  0.0000
Mn  0.5000  0.5000  0.5000
Mn  0.6144  0.6722  0.7500
Mn  0.6144  0.9422  0.7500
Mn  0.6548  0.8274  0.0235
Mn  0.6548  0.8274  0.4765
Mn  0.6667  0.3333  0.1111
Mn  0.6667  0.3333  0.3889
Mn  0.6722  0.0578  0.2500
Mn  0.6722  0.6144  0.2500
Mn  0.8274  0.1726  0.5235
Mn  0.8274  0.1726  0.9765
Mn  0.8274  0.6548  0.5235
Mn  0.8274  0.6548  0.9765
Mn  0.9422  0.3278  0.2500
Mn  0.9422  0.6144  0.2500
C  0.1639  0.3277  0.2500
C  0.1639  0.8361  0.2500
C  0.3277  0.1639  0.7500
C  0.6723  0.8361  0.2500
C  0.8361  0.1639  0.7500
C  0.8361  0.6723  0.7500

Main lines, sorted by position (10° ≤ 2θ ≤ 90°):
| d (Å) | 2θ (°) | Rel. int. |
| --- | --- | --- |
| 2.982 | 29.97 | 53 |
| 2.467 | 36.41 | 39 |
| 2.220 | 40.64 | 42 |
| 2.137 | 42.30 | 77 |
| 2.122 | 42.60 | 100 |
| 2.081 | 43.49 | 36 |



Starting from a cell relaxed with GGA-PBE, the powder diffraction line list of Dy2Mo2C3 was calculated for CuKα.

Cell and atoms:
Unit cell a=6.1179 b=6.1179 c=5.7331 alpha=111.56 beta=111.56 gamma=31.79
Element x y z (fractional)
Dy  0.1103  0.1103  0.3251
Dy  0.8897  0.8897  0.6749
Mo  0.3430  0.3430  0.1735
Mo  0.6570  0.6570  0.8265
C  0.2510  0.2510  0.7664
C  0.5000  0.5000  0.5000
C  0.7490  0.7490  0.2336

Main lines, sorted by position (10° ≤ 2θ ≤ 90°):
| d (Å) | 2θ (°) | Rel. int. |
| --- | --- | --- |
| 2.913 | 30.69 | 27 |
| 2.848 | 31.41 | 39 |
| 2.719 | 32.94 | 43 |
| 2.614 | 34.31 | 100 |
| 2.492 | 36.04 | 93 |
| 2.088 | 43.33 | 24 |



Starting from a cell relaxed with GGA-PBE, the powder diffraction line list of DyMoC2 was calculated for CuKα.

Cell and atoms:
Unit cell a=5.7046 b=3.3989 c=10.7940 alpha=90.00 beta=90.00 gamma=90.00
Element x y z (fractional)
Dy  0.0852  0.2500  0.1376
Dy  0.4148  0.7500  0.6376
Dy  0.5852  0.2500  0.3624
Dy  0.9148  0.7500  0.8624
Mo  0.0970  0.7500  0.3907
Mo  0.4030  0.2500  0.8907
Mo  0.5970  0.7500  0.1093
Mo  0.9030  0.2500  0.6093
C  0.1593  0.2500  0.7530
C  0.2236  0.2500  0.4844
C  0.2764  0.7500  0.9844
C  0.3407  0.7500  0.2530
C  0.6593  0.2500  0.7470
C  0.7236  0.2500  0.0156
C  0.7764  0.7500  0.5156
C  0.8407  0.7500  0.2470

Main lines, sorted by position (10° ≤ 2θ ≤ 90°):
| d (Å) | 2θ (°) | Rel. int. |
| --- | --- | --- |
| 2.819 | 31.75 | 21 |
| 2.758 | 32.47 | 32 |
| 2.698 | 33.20 | 31 |
| 2.568 | 34.94 | 100 |
| 2.235 | 40.35 | 20 |
| 1.640 | 56.07 | 19 |



Starting from a cell relaxed with GGA-PBE, the powder diffraction line list of Na2DyPCO7 was calculated for CuKα.

Cell and atoms:
Unit cell a=5.2286 b=7.0105 c=9.2760 alpha=90.00 beta=90.87 gamma=90.00
Element x y z (fractional)
Na  0.2320  0.0015  0.2098
Na  0.2320  0.4985  0.2098
Na  0.7680  0.5015  0.7902
Na  0.7680  0.9985  0.7902
Dy  0.2238  0.2500  0.6305
Dy  0.7762  0.7500  0.3695
P  0.2943  0.7500  0.5825
P  0.7057  0.2500  0.4175
C  0.2684  0.2500  0.9279
C  0.7316  0.7500  0.0721
O  0.0418  0.2500  0.8637
O  0.1848  0.5686  0.6534
O  0.1848  0.9314  0.6534
O  0.2196  0.7500  0.4168
O  0.3001  0.2500  0.0624
O  0.4071  0.2500  0.4083
O  0.4636  0.2500  0.8373
O  0.5364  0.7500  0.1627
O  0.5929  0.7500  0.5917
O  0.6999  0.7500  0.9376
O  0.7804  0.2500  0.5832
O  0.8152  0.0686  0.3466
O  0.8152  0.4314  0.3466
O  0.9582  0.7500  0.1363

Main lines, sorted by position (10° ≤ 2θ ≤ 90°):
| d (Å) | 2θ (°) | Rel. int. |
| --- | --- | --- |
| 5.593 | 15.85 | 95 |
| 4.191 | 21.20 | 76 |
| 3.501 | 25.44 | 100 |
| 3.443 | 25.87 | 59 |
| 2.614 | 34.31 | 35 |
| 2.504 | 35.86 | 41 |